No. 1
The following is a theoretical powder diffraction line list of Li5B8C8. It was derived from the PBE geometry in Alexandria, using a wavelength of 1.5418 Å.
No peak broadening, texture or thermal motion is included.

Peak list (10 most intense, 5 to 70 degrees two-theta, by intensity)
d = 3.613 Å, 24.64°, rel. 100; d = 1.974 Å, 45.99°, rel. 22; d = 1.807 Å, 50.52°, rel. 15; d = 1.352 Å, 69.50°, rel. 9; d = 1.951 Å, 46.55°, rel. 7; d = 1.963 Å, 46.25°, rel. 7; d = 14.452 Å, 6.12°, rel. 7; d = 1.984 Å, 45.73°, rel. 7; d = 2.357 Å, 38.19°, rel. 6; d = 1.365 Å, 68.78°, rel. 5

a b c (Å): 2.7299 4.6713 14.6686
angles (deg): 98.50 94.94 90.05
Sites, in units of the cell vectors:
1 Li 0.0000 0.0000 0.0000
2 Li 0.1229 0.1302 0.2481
3 Li 0.2493 0.2521 0.5009
4 Li 0.4998 0.4999 0.9999
5 Li 0.8751 0.8707 0.7514
6 B 0.0597 0.7238 0.1260
7 B 0.1834 0.5269 0.3747
8 B 0.3103 0.9475 0.6180
9 B 0.4418 0.7744 0.8786
10 B 0.5581 0.2255 0.1214
11 B 0.6847 0.0202 0.3751
12 B 0.8169 0.4544 0.6326
13 B 0.9403 0.2763 0.8742
14 C 0.0608 0.3870 0.1194
15 C 0.1889 0.8650 0.3750
16 C 0.3132 0.6160 0.6324
17 C 0.4370 0.1102 0.8758
18 C 0.5629 0.8900 0.1241
19 C 0.6888 0.3636 0.3748
20 C 0.8069 0.1096 0.6182
21 C 0.9392 0.6132 0.8810

---

No. 2
The following is a theoretical powder diffraction line list of LiB2C2. It was derived from the PBE geometry in Alexandria, using a wavelength of 1.5418 Å.
No peak broadening, texture or thermal motion is included.

Peak list (10 most intense, 5 to 70 degrees two-theta, by intensity)
d = 3.669 Å, 24.26°, rel. 100; d = 1.975 Å, 45.94°, rel. 35; d = 1.835 Å, 49.69°, rel. 13; d = 1.353 Å, 69.45°, rel. 12; d = 2.344 Å, 38.40°, rel. 10; d = 7.339 Å, 12.06°, rel. 6; d = 1.445 Å, 64.50°, rel. 2; d = 3.809 Å, 23.35°, rel. 2; d = 2.233 Å, 40.39°, rel. 2; d = 3.267 Å, 27.29°, rel. 1

a b c (Å): 7.8221 7.8221 7.8221
angles (deg): 34.88 34.88 34.88
Sites, in units of the cell vectors:
1 Li 0.9998 0.9998 0.9998
2 Li 0.1661 0.1661 0.1661
3 Li 0.6667 0.6667 0.6667
4 B 0.0833 0.7442 0.4161
5 B 0.2516 0.5849 0.9184
6 B 0.4161 0.0833 0.7442
7 B 0.5849 0.9184 0.2516
8 B 0.7442 0.4161 0.0833
9 B 0.9184 0.2516 0.5849
10 C 0.0787 0.4126 0.7498
11 C 0.2524 0.9190 0.5859
12 C 0.4126 0.7498 0.0787
13 C 0.5859 0.2524 0.9190
14 C 0.7498 0.0787 0.4126
15 C 0.9190 0.5859 0.2524